Diffraction record for Cs10RbHg3. The X-ray powder pattern is theoretical, not measured: it uses a DFT-relaxed cell (GGA-PBE, Alexandria) and Cu Kα (λ = 1.5418 Å).
Intensities are scaled so that the largest is 100.

Peak list (8 most intense, 10 to 90 degrees two-theta, in order of rising 2θ)
- (2 2 2), 2θ 14.72, I 37
- (3 3 3), 2θ 22.15, I 100
- (4 4 0), 2θ 24.14, I 69
- (5 3 1), 2θ 25.27, I 63
- (6 0 0), 2θ 25.63, I 35
- (6 2 2), 2θ 28.39, I 74
- (8 4 4), 2θ 42.47, I 46
- (9 5 5), 2θ 50.07, I 32

Unit cell a=20.8524 b=20.8524 c=20.8524 alpha=90.00 beta=90.00 gamma=90.00
Space group Fm-3m (No. 225)
Inequivalent atoms, fractional coordinates:
1 Cs 0.0000 0.1666 0.1666 x48
2 Cs 0.1128 0.1128 0.3872 x32
3 Rb 0.2500 0.2500 0.2500 x8
4 Hg 0.0000 0.0000 0.2710 x24



Diffraction record for Cs4Rb5Hg3. The X-ray powder pattern is theoretical, not measured: it uses a DFT-relaxed cell (GGA-PBE, Alexandria) and Cu Kα (λ = 1.5418 Å).
Intensities are scaled so that the largest is 100.

Peak list (8 most intense, 10 to 90 degrees two-theta, in order of rising 2θ)
- (3 1 -1), 2θ 17.41, I 41
- (1 1 2), 2θ 22.90, I 86
- (5 1 -1), 2θ 23.01, I 92
- (0 2 0), 2θ 24.58, I 100
- (4 0 -3), 2θ 25.52, I 60
- (3 1 2), 2θ 27.78, I 57
- (6 2 -2), 2θ 35.19, I 46
- (4 2 -3), 2θ 35.73, I 55

Unit cell a=22.9026 b=7.2434 c=10.9226 alpha=90.00 beta=111.02 gamma=90.00
Space group C2/m (No. 12)
Inequivalent atoms, fractional coordinates:
1 Cs 0.1283 0.0000 0.4813 x4
2 Cs 0.1859 0.0000 0.9610 x4
3 Rb 0.0000 0.0000 0.0000 x2
4 Rb 0.0587 0.5000 0.7236 x4
5 Rb 0.1624 0.5000 0.2619 x4
6 Hg 0.0000 0.5000 0.0000 x2
7 Hg 0.2198 0.5000 0.6651 x4